Simulated XRD peak list
Compound: BaZnNi4O8
Radiation: Cu Kα (weighted mean of Kα1 and Kα2)
Structure: a GGA+U-relaxed structure
No peak broadening, texture or thermal motion is included.

Crystal structure
```
BaZnNi4O8
1.0
5.282 0.000 0.000
-2.641 4.574 0.000
0.000 0.000 7.332
Ba Zn Ni O
1 1 4 8
direct
0.000 0.000 0.000 Ba
0.000 0.000 0.500 Zn
0.333 0.667 0.252 Ni
0.333 0.667 0.748 Ni
0.667 0.333 0.252 Ni
0.667 0.333 0.748 Ni
0.000 0.320 0.323 O
0.000 0.680 0.677 O
0.320 0.000 0.323 O
0.320 0.320 0.677 O
0.333 0.667 0.000 O
0.667 0.333 0.000 O
0.680 0.000 0.677 O
0.680 0.680 0.323 O
```

The 8 most intense peaks (5 to 70 degrees two-theta), low angle first:
d/Å, I_rel, (hkl)
2.861, 100, 1 0 2
2.641, 82, 1 1 0
2.485, 13, 2 -1 1
1.941, 34, 2 0 2
1.833, 10, 0 0 4
1.564, 32, 2 1 2
1.525, 23, 3 0 0
1.506, 35, 2 -1 4